Calculated powder XRD pattern
Compound: Li3Cd3Pd
Radiation: Cu Ka
Structure: the GGA-PBE geometry in Alexandria

Principal peaks in the range 2θ from 10° to 80°, low angle first:
hkl, d (Å), 2θ/deg, I/Imax
1 1 1, 4.605, 19.28, 18.3
2 1 1, 3.256, 27.39, 100.0
2 2 0, 2.820, 31.73, 31.0
2 2 1, 2.659, 33.71, 14.8
3 0 1, 2.522, 35.60, 39.3
3 1 1, 2.405, 37.40, 27.2
3 0 2, 2.212, 40.79, 21.9
3 2 1, 2.132, 42.40, 75.2
4 2 1, 1.740, 52.58, 18.3
4 1 3, 1.564, 59.06, 26.2
4 2 3, 1.481, 62.73, 19.0
5 3 2, 1.294, 73.14, 17.5

Atomic structure:
Lattice parameters (Å, degrees): 7.976 7.976 7.976 90.00 90.00 90.00
Sites, in units of the cell vectors:
Li (0.060, 0.259, 0.854)
Li (0.146, 0.560, 0.241)
Li (0.241, 0.146, 0.560)
Li (0.259, 0.854, 0.060)
Li (0.354, 0.440, 0.741)
Li (0.440, 0.741, 0.354)
Li (0.560, 0.241, 0.146)
Li (0.646, 0.940, 0.759)
Li (0.741, 0.354, 0.440)
Li (0.759, 0.646, 0.940)
Li (0.854, 0.060, 0.259)
Li (0.940, 0.759, 0.646)
Cd (0.058, 0.442, 0.558)
Cd (0.116, 0.884, 0.384)
Cd (0.200, 0.200, 0.200)
Cd (0.300, 0.800, 0.700)
Cd (0.384, 0.116, 0.884)
Cd (0.442, 0.558, 0.058)
Cd (0.558, 0.058, 0.442)
Cd (0.616, 0.616, 0.616)
Cd (0.700, 0.300, 0.800)
Cd (0.800, 0.700, 0.300)
Cd (0.884, 0.384, 0.116)
Cd (0.942, 0.942, 0.942)
Pd (0.096, 0.596, 0.904)
Pd (0.404, 0.404, 0.404)
Pd (0.596, 0.904, 0.096)
Pd (0.904, 0.096, 0.596)